[1]
# Li4SbTe3O12
Theoretical PXRD pattern, λ = 1.5418 Å (Cu Kα). Input: a cell relaxed with PBE.

Principal peaks in the range 10 to 90 degrees two-theta, in order of rising 2θ:
two_theta	I (rel.)	index
23.11	100.0	1 1 0
32.00	41.1	0 2 0
33.80	26.4	2 0 0
41.34	15.7	0 2 2
47.23	18.0	0 0 4
51.98	27.9	1 -1 4
54.42	14.0	1 1 4
55.85	8.2	0 2 -4
59.33	15.5	2 0 4
60.46	11.7	0 2 4

Atomic structure:
a b c (Å): 5.3020 5.6086 7.7280
angles (deg): 94.43 90.00 90.02
Element x y z (fractional)
1 Li 0.0000 0.0000 0.0000
2 Li 0.0077 0.9710 0.5235
3 Li 0.4955 0.4693 0.0173
4 Li 0.5057 0.5027 0.5097
5 Sb 0.5025 0.0456 0.7325
6 Te 0.0010 0.5437 0.2343
7 Te 0.0026 0.5411 0.7347
8 Te 0.5021 0.0455 0.2332
9 O 0.1284 0.5626 0.9784
10 O 0.1893 0.8919 0.2928
11 O 0.1996 0.2354 0.6581
12 O 0.3104 0.7503 0.6537
13 O 0.3486 0.3647 0.2877
14 O 0.3675 0.0726 0.9867
15 O 0.6401 0.0590 0.4733
16 O 0.6715 0.7495 0.1559
17 O 0.6733 0.3664 0.7896
18 O 0.7979 0.2259 0.1539
19 O 0.8229 0.8800 0.7849
20 O 0.8766 0.5648 0.4861

=====

[2]
# ZnSn2P2O8
Theoretical PXRD pattern, λ = 1.5418 Å (Cu Kα). Input: a cell relaxed with PBE.

Principal peaks in the range 10 to 90 degrees two-theta, in order of rising 2θ:
two_theta	I (rel.)	index
10.85	42.5	0 0 2
17.82	43.4	1 1 1
18.86	26.6	0 1 3
26.10	92.3	1 2 3
29.35	67.8	0 3 1
29.54	100.0	1 -1 4
29.68	68.7	1 -2 1
33.30	64.1	-1 1 4
34.27	34.6	2 1 1
45.74	33.3	2 -2 0

Atomic structure:
a b c (Å): 5.2330 9.6269 16.5164
angles (deg): 87.08 80.88 74.23
Element x y z (fractional)
1 Zn 0.0697 0.1485 0.1605
2 Zn 0.3786 0.3515 0.3395
3 Zn 0.6214 0.6485 0.6605
4 Zn 0.9303 0.8515 0.8395
5 Sn 0.0000 0.5000 0.0000
6 Sn 0.1857 0.7011 0.4893
7 Sn 0.3396 0.7555 0.2511
8 Sn 0.3761 0.7989 0.0107
9 Sn 0.5000 0.0000 0.5000
10 Sn 0.6239 0.2011 0.9893
11 Sn 0.6604 0.2445 0.7489
12 Sn 0.8143 0.2989 0.5107
13 P 0.0861 0.0880 0.3613
14 P 0.2403 0.4465 0.6232
15 P 0.3100 0.0535 0.8768
16 P 0.4646 0.5880 0.8613
17 P 0.5354 0.4120 0.1387
18 P 0.6900 0.9465 0.1232
19 P 0.7597 0.5535 0.3768
20 P 0.9139 0.9120 0.6387
21 O 0.0010 0.8573 0.7210
22 O 0.0450 0.0088 0.8787
23 O 0.0675 0.5088 0.3787
24 O 0.1629 0.6760 0.8898
25 O 0.1646 0.8890 0.5689
26 O 0.2482 0.9219 0.3689
27 O 0.2642 0.1651 0.9469
28 O 0.2713 0.1760 0.3898
29 O 0.3030 0.3863 0.7076
30 O 0.3582 0.5794 0.6036
31 O 0.3761 0.3349 0.5531
32 O 0.3774 0.3890 0.0689
33 O 0.3969 0.1137 0.7924
34 O 0.4207 0.3573 0.2210
35 O 0.4588 0.0794 0.1036
36 O 0.4610 0.4219 0.8689
37 O 0.5390 0.5781 0.1311
38 O 0.5412 0.9206 0.8964
39 O 0.5793 0.6427 0.7790
40 O 0.6031 0.8863 0.2076
41 O 0.6226 0.6110 0.9311
42 O 0.6239 0.6651 0.4469
43 O 0.6418 0.4206 0.3964
44 O 0.6970 0.6137 0.2924
45 O 0.7287 0.8240 0.6102
46 O 0.7358 0.8349 0.0531
47 O 0.7518 0.0781 0.6311
48 O 0.8354 0.1110 0.4311
49 O 0.8371 0.3240 0.1102
50 O 0.9325 0.4912 0.6213
51 O 0.9550 0.9912 0.1213
52 O 0.9990 0.1427 0.2790